The following is a theoretical X-ray diffraction stick pattern of Nd5Sm2Er6. It was derived from DFT lattice parameters and positions (GGA-PBE), using λ = 1.5418 Å (Cu Kα).

Structural model:
Unit cell a=11.6946 b=20.5520 c=3.5994 alpha=90.00 beta=90.00 gamma=90.00
Sites, in units of the cell vectors:
1 Nd 0.0000 0.0000 0.0000
2 Nd 0.0836 0.2753 0.0000
3 Nd 0.1999 0.5503 0.0000
4 Nd 0.3001 0.0503 0.0000
5 Nd 0.4164 0.7753 0.0000
6 Nd 0.5000 0.5000 0.0000
7 Nd 0.5836 0.2247 0.0000
8 Nd 0.6999 0.9497 0.0000
9 Nd 0.8001 0.4497 0.0000
10 Nd 0.9164 0.7247 0.0000
11 Sm 0.1728 0.7136 0.5000
12 Sm 0.3272 0.2136 0.5000
13 Sm 0.6728 0.7864 0.5000
14 Sm 0.8272 0.2864 0.5000
15 Er 0.0612 0.4207 0.5000
16 Er 0.0779 0.1326 0.5000
17 Er 0.1786 0.8662 0.0000
18 Er 0.3214 0.3662 0.0000
19 Er 0.4221 0.6326 0.5000
20 Er 0.4388 0.9207 0.5000
21 Er 0.5612 0.0793 0.5000
22 Er 0.5779 0.3674 0.5000
23 Er 0.6786 0.6338 0.0000
24 Er 0.8214 0.1338 0.0000
25 Er 0.9221 0.8674 0.5000
26 Er 0.9388 0.5793 0.5000

Most intense lines, 10° ≤ 2θ ≤ 80°, by intensity:
- 32.0 deg, rel. 100, (2 3 1)
- 30.9 deg, rel. 69, (4 1 0)
- 31.4 deg, rel. 68, (1 7 0)
- 31.3 deg, rel. 52, (1 4 1)
- 34.1 deg, rel. 42, (2 4 1)
- 36.4 deg, rel. 35, (3 3 1)
- 34.9 deg, rel. 26, (3 6 0)
- 50.7 deg, rel. 24, (0 0 2)
- 60.6 deg, rel. 21, (4 1 2)
- 60.9 deg, rel. 21, (1 7 2)

The following is a theoretical X-ray diffraction stick pattern of Sr2Li10Cd. It was derived from DFT lattice parameters and positions (GGA-PBE), using λ = 1.5418 Å (Cu Kα).

Structural model:
Unit cell a=5.8006 b=18.8429 c=6.5507 alpha=90.00 beta=90.00 gamma=90.00
Sites, in units of the cell vectors:
1 Sr 0.2272 0.1553 0.0000
2 Sr 0.2728 0.6553 0.0000
3 Sr 0.7272 0.3447 0.0000
4 Sr 0.7728 0.8447 0.0000
5 Li 0.0164 0.2833 0.5000
6 Li 0.0610 0.8585 0.5000
7 Li 0.0947 0.5743 0.5000
8 Li 0.2245 0.4591 0.1979
9 Li 0.2245 0.4591 0.8021
10 Li 0.2755 0.9591 0.1979
11 Li 0.2755 0.9591 0.8021
12 Li 0.4053 0.0743 0.5000
13 Li 0.4390 0.3585 0.5000
14 Li 0.4836 0.7833 0.5000
15 Li 0.5164 0.2167 0.5000
16 Li 0.5610 0.6415 0.5000
17 Li 0.5947 0.9257 0.5000
18 Li 0.7245 0.0409 0.1979
19 Li 0.7245 0.0409 0.8021
20 Li 0.7755 0.5409 0.1979
21 Li 0.7755 0.5409 0.8021
22 Li 0.9053 0.4257 0.5000
23 Li 0.9390 0.1415 0.5000
24 Li 0.9836 0.7167 0.5000
25 Cd 0.0000 0.0000 0.5000
26 Cd 0.5000 0.5000 0.5000

Most intense lines, 10° ≤ 2θ ≤ 80°, by intensity:
- 16.5 deg, rel. 100, (0 2 1)
- 23.3 deg, rel. 86, (0 4 1)
- 22.5 deg, rel. 85, (1 2 1)
- 18.0 deg, rel. 67, (1 2 0)
- 33.8 deg, rel. 59, (2 0 1)
- 16.0 deg, rel. 56, (1 1 0)
- 27.2 deg, rel. 50, (0 0 2)
- 24.9 deg, rel. 49, (1 3 1)
- 21.0 deg, rel. 39, (1 1 1)
- 44.7 deg, rel. 39, (2 6 1)